For Y4Lu2Sb3C3, DFT lattice parameters and positions (PBE) gives the computed XRD peak list in this record (Cu Ka).

Main lines, by intensity (5 to 70 degrees two-theta):
| two_theta | d_spacing | Rel. int. |
| --- | --- | --- |
| 33.57 | 2.670 | 100.0 |
| 28.29 | 3.154 | 23.0 |
| 50.09 | 1.821 | 22.1 |
| 63.10 | 1.473 | 19.5 |
| 35.83 | 2.506 | 18.2 |
| 61.65 | 1.504 | 16.8 |
| 62.95 | 1.476 | 15.4 |
| 46.27 | 1.962 | 14.9 |
| 16.34 | 5.425 | 5.0 |
| 16.70 | 5.308 | 3.3 |

Structural model:
```
data_Y4Lu2Sb3C3
_chemical_formula_sum 'Y16 Lu8 Sb12 C12'
_space_group_name_H-M_alt 'C 1 2/c 1'
_space_group_IT_number 15
_space_group_name_Hall '-C 2yc'
_cell_length_a 10.9201
_cell_length_b 6.3123
_cell_length_c 15.4708
_cell_angle_alpha 90.00
_cell_angle_beta 103.59
_cell_angle_gamma 90.00
loop_
_atom_site_label
_atom_site_type_symbol
_atom_site_fract_x
_atom_site_fract_y
_atom_site_fract_z
_atom_site_occupancy
Y1 Y 0.1132 0.0820 0.0894 1
Y2 Y 0.2199 0.0838 0.4106 1
Lu1 Lu 0.0563 0.4159 0.9170 1
Sb1 Sb 0.0000 0.0998 0.7500 1
Sb2 Sb 0.1564 0.4245 0.2498 1
C1 C 0.0818 0.2545 0.5000 1
C2 C 0.2500 0.2500 0.0000 1
```